# Th6ScBi8
Simulated X-ray diffraction stick pattern, λ = 1.5418 Å (Cu Kα). Input: DFT lattice parameters and positions (GGA-PBE).

Atomic structure:
```
data_Th6ScBi8
_chemical_formula_sum 'Th6 Sc1 Bi8'
_cell_length_a 8.4810
_cell_length_b 8.4810
_cell_length_c 8.4810
_cell_angle_alpha 68.47
_cell_angle_beta 68.47
_cell_angle_gamma 68.47
_space_group_name_H-M_alt 'P 1'
_space_group_IT_number 1
_space_group_name_Hall 'P 1'
loop_
_atom_site_label
_atom_site_fract_x
_atom_site_fract_y
_atom_site_fract_z
Th1 0.0813 0.4626 0.6903
Th2 0.3097 0.9187 0.5374
Th3 0.4626 0.6903 0.0813
Th4 0.5374 0.3097 0.9187
Th5 0.6903 0.0813 0.4626
Th6 0.9187 0.5374 0.3097
Sc1 0.0000 0.0000 0.0000
Bi1 0.0910 0.8239 0.3529
Bi2 0.1761 0.6471 0.9090
Bi3 0.3286 0.3286 0.3286
Bi4 0.3529 0.0910 0.8239
Bi5 0.6471 0.9090 0.1761
Bi6 0.6714 0.6714 0.6714
Bi7 0.8239 0.3529 0.0910
Bi8 0.9090 0.1761 0.6471
```

Peak list (10 most intense, 2θ from 15° to 90°, in order of rising 2θ)
18.6°, I 34
23.2°, I 22
27.7°, I 47
29.0°, I 34
30.1°, I 73
32.5°, I 90
33.5°, I 100
34.2°, I 44
43.2°, I 24
43.7°, I 23

# Th5Sc3Bi8
Simulated X-ray diffraction stick pattern, λ = 1.5418 Å (Cu Kα). Input: DFT lattice parameters and positions (GGA-PBE).

Atomic structure:
```
data_Th5Sc3Bi8
_chemical_formula_sum 'Th5 Sc3 Bi8'
_cell_length_a 8.9565
_cell_length_b 8.9565
_cell_length_c 8.9565
_cell_angle_alpha 60.26
_cell_angle_beta 60.26
_cell_angle_gamma 60.26
_space_group_name_H-M_alt 'P 1'
_space_group_IT_number 1
_space_group_name_Hall 'P 1'
loop_
_atom_site_label
_atom_site_fract_x
_atom_site_fract_y
_atom_site_fract_z
Th1 0.0000 0.0000 0.0000
Th2 0.0000 0.5000 0.5000
Th3 0.5000 0.0000 0.5000
Th4 0.5000 0.5000 0.0000
Th5 0.5000 0.5000 0.5000
Sc1 0.0000 0.0000 0.5000
Sc2 0.0000 0.5000 0.0000
Sc3 0.5000 0.0000 0.0000
Bi1 0.2331 0.7500 0.7500
Bi2 0.2422 0.2422 0.2422
Bi3 0.2500 0.2500 0.7669
Bi4 0.2500 0.7669 0.2500
Bi5 0.7500 0.2331 0.7500
Bi6 0.7500 0.7500 0.2331
Bi7 0.7578 0.7578 0.7578
Bi8 0.7669 0.2500 0.2500
```

Peak list (10 most intense, 2θ from 15° to 90°, in order of rising 2θ)
23.2°, I 9
28.1°, I 100
30.7°, I 9
40.1°, I 40
40.3°, I 37
49.7°, I 21
58.2°, I 13
65.7°, I 18
65.9°, I 17
73.0°, I 13

# ThScBi
Simulated X-ray diffraction stick pattern, λ = 1.5418 Å (Cu Kα). Input: DFT lattice parameters and positions (GGA-PBE).

Atomic structure:
```
data_ThScBi
_chemical_formula_sum 'Th4 Sc4 Bi4'
_cell_length_a 8.0298
_cell_length_b 4.4091
_cell_length_c 9.7350
_cell_angle_alpha 90.00
_cell_angle_beta 90.00
_cell_angle_gamma 90.00
_space_group_name_H-M_alt 'P 1'
_space_group_IT_number 1
_space_group_name_Hall 'P 1'
loop_
_atom_site_label
_atom_site_fract_x
_atom_site_fract_y
_atom_site_fract_z
Th1 0.0424 0.2500 0.1627
Th2 0.4576 0.7500 0.6627
Th3 0.5424 0.2500 0.3373
Th4 0.9576 0.7500 0.8373
Sc1 0.1322 0.2500 0.5554
Sc2 0.3678 0.7500 0.0554
Sc3 0.6322 0.2500 0.9446
Sc4 0.8678 0.7500 0.4446
Bi1 0.2402 0.7500 0.3577
Bi2 0.2598 0.2500 0.8577
Bi3 0.7402 0.7500 0.1423
Bi4 0.7598 0.2500 0.6423
```

Peak list (10 most intense, 2θ from 15° to 90°, in order of rising 2θ)
21.3°, I 20
24.8°, I 28
29.5°, I 56
29.7°, I 26
31.5°, I 100
36.1°, I 45
38.4°, I 36
40.9°, I 26
56.5°, I 26
57.4°, I 23

# ThSc3Bi4
Simulated X-ray diffraction stick pattern, λ = 1.5418 Å (Cu Kα). Input: DFT lattice parameters and positions (GGA-PBE).

Atomic structure:
```
data_ThSc3Bi4
_chemical_formula_sum 'Th1 Sc3 Bi4'
_cell_length_a 7.5442
_cell_length_b 7.5442
_cell_length_c 4.3802
_cell_angle_alpha 90.00
_cell_angle_beta 90.00
_cell_angle_gamma 109.59
_space_group_name_H-M_alt 'P 1'
_space_group_IT_number 1
_space_group_name_Hall 'P 1'
loop_
_atom_site_label
_atom_site_fract_x
_atom_site_fract_y
_atom_site_fract_z
Th1 0.0000 0.0000 0.0000
Sc1 0.0000 0.5000 0.5000
Sc2 0.5000 0.0000 0.5000
Sc3 0.5000 0.5000 0.0000
Bi1 0.2583 0.7417 0.0000
Bi2 0.2675 0.2675 0.5000
Bi3 0.7325 0.7325 0.5000
Bi4 0.7417 0.2583 0.0000
```

Peak list (10 most intense, 2θ from 15° to 90°, in order of rising 2θ)
24.9°, I 15
25.1°, I 14
28.9°, I 100
41.2°, I 13
41.4°, I 51
41.5°, I 12
51.2°, I 14
51.4°, I 13
60.0°, I 12
68.0°, I 23